This entry pairs a crystal structure of Sc6ZnS4 with its theoretical powder diffraction line list. Radiation: Cu Kα X-rays. Structure: DFT lattice parameters and positions (GGA-PBE).
Lines closer than 0.1° are merged.

Peak list (10 most intense, 2θ from 15° to 90°, low angle first)
2theta	I/Imax	hkl
31.9	13	1 1 4
32.3	60	0 2 6
33.3	37	1 3 1
34.3	100	1 3 2
36.0	33	1 3 3
46.6	27	1 1 8
49.0	41	0 6 4
49.7	27	2 0 0
51.3	18	0 6 5
60.5	20	2 2 6

Atomic structure:
```
data_Sc6ZnS4
_chemical_formula_sum 'Sc24 Zn4 S16'
_cell_length_a 3.6699
_cell_length_b 12.1435
_cell_length_c 18.7195
_cell_angle_alpha 90.00
_cell_angle_beta 90.00
_cell_angle_gamma 90.00
_symmetry_space_group_name_H-M 'C m c m'
_symmetry_Int_Tables_number 63
_symmetry_space_group_name_Hall '-C 2c 2'
loop_
_atom_site_label
_atom_site_type_symbol
_atom_site_fract_x
_atom_site_fract_y
_atom_site_fract_z
Sc1 Sc 0.0000 0.0000 0.0000
Sc2 Sc 0.0000 0.1637 0.2500
Sc3 Sc 0.0000 0.2740 0.5856
Sc4 Sc 0.0000 0.4557 0.1627
Zn1 Zn 0.0000 0.1627 0.7500
S1 S 0.0000 0.0901 0.1239
S2 S 0.0000 0.3615 0.0411
```